Entry 1:
For GaFePd5, a DFT-relaxed cell (PBE, Alexandria) gives the calculated X-ray diffraction stick pattern in this record (λ = 1.5418 Å (Cu Kα)).
No peak broadening, texture or thermal motion is included.

Main lines, most intense first (2θ = 10–90°):
- 2θ = 41.3°, I 100
- 2θ = 45.7°, I 50
- 2θ = 30.7°, I 44
- 2θ = 39.2°, I 43
- 2θ = 39.7°, I 43
- 2θ = 49.6°, I 39
- 2θ = 41.5°, I 34
- 2θ = 37.6°, I 30
- 2θ = 41.7°, I 29
- 2θ = 77.6°, I 29

```
GaFePd5
1.0
4.6658 -5.4285 0.0000
4.6658 5.4285 0.0000
-3.5842 0.0000 4.6018
Ga Fe Pd
2 2 10
Direct
0.0000 0.0000 0.0000 Ga
0.0000 0.0000 0.5000 Ga
0.4876 0.5124 0.7500 Fe
0.5124 0.4876 0.2500 Fe
0.1595 0.4203 0.8068 Pd
0.1635 0.4242 0.2813 Pd
0.2004 0.7996 0.7500 Pd
0.4203 0.1595 0.3068 Pd
0.4242 0.1635 0.7813 Pd
0.5758 0.8365 0.2187 Pd
0.5797 0.8405 0.6932 Pd
0.7996 0.2004 0.2500 Pd
0.8365 0.5758 0.7187 Pd
0.8405 0.5797 0.1932 Pd
```


Entry 2:
For PmGa8Fe4, a DFT-relaxed cell (PBE, Alexandria) gives the calculated X-ray diffraction stick pattern in this record (λ = 1.5418 Å (Cu Kα)).
No peak broadening, texture or thermal motion is included.

Main lines, most intense first (2θ = 10–90°):
- 2θ = 41.2°, I 100
- 2θ = 35.4°, I 34
- 2θ = 46.3°, I 30
- 2θ = 75.0°, I 23
- 2θ = 67.5°, I 14
- 2θ = 28.8°, I 9
- 2θ = 89.4°, I 9
- 2θ = 89.3°, I 8
- 2θ = 32.3°, I 6
- 2θ = 43.8°, I 4

```
PmGa8Fe4
1.0
-4.3832 4.3832 2.5360
4.3832 -4.3832 2.5360
4.3832 4.3832 -2.5360
Pm Ga Fe
1 8 4
Direct
0.0000 0.0000 0.0000 Pm
0.0000 0.3413 0.3413 Ga
0.0000 0.6587 0.6587 Ga
0.2758 0.5000 0.7758 Ga
0.3413 0.0000 0.3413 Ga
0.5000 0.2758 0.7758 Ga
0.5000 0.7242 0.2242 Ga
0.6587 0.0000 0.6587 Ga
0.7242 0.5000 0.2242 Ga
0.0000 0.0000 0.5000 Fe
0.0000 0.5000 0.0000 Fe
0.5000 0.0000 0.0000 Fe
0.5000 0.5000 0.5000 Fe
```


Entry 3:
For Pr3GaFeS7, a DFT-relaxed cell (PBE, Alexandria) gives the calculated X-ray diffraction stick pattern in this record (λ = 1.5418 Å (Cu Kα)).
No peak broadening, texture or thermal motion is included.

Main lines, most intense first (2θ = 10–90°):
- 2θ = 25.0°, I 100
- 2θ = 35.8°, I 38
- 2θ = 35.5°, I 36
- 2θ = 34.2°, I 32
- 2θ = 40.0°, I 23
- 2θ = 27.2°, I 22
- 2θ = 48.7°, I 21
- 2θ = 17.5°, I 21
- 2θ = 40.2°, I 20
- 2θ = 50.4°, I 19

```
Pr3GaFeS7
1.0
10.0239 0.0000 0.0000
-5.0119 8.6809 0.0000
0.0000 0.0000 6.2173
Pr Ga Fe S
6 2 2 14
Direct
0.1513 0.7755 0.0000 Pr
0.2245 0.3758 0.0000 Pr
0.3758 0.1513 0.5000 Pr
0.6242 0.8487 0.0000 Pr
0.7755 0.6242 0.5000 Pr
0.8487 0.2245 0.5000 Pr
0.3333 0.6667 0.5777 Ga
0.6667 0.3333 0.0777 Ga
0.0000 0.0000 0.1855 Fe
0.0000 0.0000 0.6855 Fe
0.0931 0.5203 0.7263 S
0.0951 0.8653 0.4213 S
0.1347 0.2298 0.4213 S
0.2298 0.0951 0.9213 S
0.3333 0.6667 0.2140 S
0.4271 0.9069 0.7263 S
0.4797 0.5729 0.7263 S
0.5203 0.4271 0.2263 S
0.5729 0.0931 0.2263 S
0.6667 0.3333 0.7140 S
0.7702 0.9049 0.4213 S
0.8653 0.7702 0.9213 S
0.9049 0.1347 0.9213 S
0.9069 0.4797 0.2263 S
```


Entry 4:
For Pu4Ga16Fe3, a DFT-relaxed cell (PBE, Alexandria) gives the calculated X-ray diffraction stick pattern in this record (λ = 1.5418 Å (Cu Kα)).
No peak broadening, texture or thermal motion is included.

Main lines, most intense first (2θ = 10–90°):
- 2θ = 38.4°, I 100
- 2θ = 42.0°, I 68
- 2θ = 33.6°, I 62
- 2θ = 20.6°, I 38
- 2θ = 32.0°, I 36
- 2θ = 60.0°, I 33
- 2θ = 40.8°, I 27
- 2θ = 74.2°, I 26
- 2θ = 60.8°, I 22
- 2θ = 30.4°, I 16

```
Pu4Ga16Fe3
1.0
6.0906 0.0000 0.0000
0.0000 6.0906 0.0000
0.0000 0.0000 11.0491
Pu Ga Fe
4 16 3
Direct
0.0000 0.5000 0.1931 Pu
0.0000 0.5000 0.8069 Pu
0.5000 0.0000 0.1931 Pu
0.5000 0.0000 0.8069 Pu
0.0000 0.0000 0.2013 Ga
0.0000 0.0000 0.7987 Ga
0.2211 0.2211 0.0000 Ga
0.2211 0.7789 0.0000 Ga
0.2500 0.2500 0.3832 Ga
0.2500 0.2500 0.6168 Ga
0.2500 0.7500 0.3832 Ga
0.2500 0.7500 0.6168 Ga
0.5000 0.5000 0.2173 Ga
0.5000 0.5000 0.7827 Ga
0.7500 0.2500 0.3832 Ga
0.7500 0.2500 0.6168 Ga
0.7500 0.7500 0.3832 Ga
0.7500 0.7500 0.6168 Ga
0.7789 0.2211 0.0000 Ga
0.7789 0.7789 0.0000 Ga
0.0000 0.5000 0.5000 Fe
0.5000 0.0000 0.5000 Fe
0.5000 0.5000 0.0000 Fe
```


Entry 5:
For Pu2Ga3Fe, a DFT-relaxed cell (PBE, Alexandria) gives the calculated X-ray diffraction stick pattern in this record (λ = 1.5418 Å (Cu Kα)).
No peak broadening, texture or thermal motion is included.

Main lines, most intense first (2θ = 10–90°):
- 2θ = 38.9°, I 100
- 2θ = 32.2°, I 88
- 2θ = 34.2°, I 84
- 2θ = 38.1°, I 69
- 2θ = 40.7°, I 57
- 2θ = 19.8°, I 57
- 2θ = 58.7°, I 37
- 2θ = 63.2°, I 31
- 2θ = 67.4°, I 29
- 2θ = 62.0°, I 26

```
Pu2Ga3Fe
1.0
2.7806 1.6054 4.1637
-2.7806 1.6054 4.1637
0.0000 -3.2108 4.1637
Pu Ga Fe
2 3 1
Direct
0.1214 0.1214 0.1214 Pu
0.8786 0.8786 0.8786 Pu
0.0000 0.5000 0.5000 Ga
0.5000 0.0000 0.5000 Ga
0.5000 0.5000 0.0000 Ga
0.5000 0.5000 0.5000 Fe
```


Entry 6:
For RbTl2GaFe, a DFT-relaxed cell (PBE, Alexandria) gives the calculated X-ray diffraction stick pattern in this record (λ = 1.5418 Å (Cu Kα)).
No peak broadening, texture or thermal motion is included.

Main lines, most intense first (2θ = 10–90°):
- 2θ = 28.7°, I 100
- 2θ = 34.6°, I 47
- 2θ = 46.8°, I 40
- 2θ = 15.1°, I 40
- 2θ = 30.5°, I 33
- 2θ = 58.4°, I 28
- 2θ = 59.4°, I 20
- 2θ = 53.1°, I 18
- 2θ = 37.9°, I 17
- 2θ = 49.7°, I 17

```
RbTl2GaFe
1.0
5.1897 0.0000 0.0000
0.0000 5.1897 0.0000
0.0000 0.0000 5.8602
Rb Tl Ga Fe
1 2 1 1
Direct
0.0000 0.0000 0.0000 Rb
0.0000 0.5000 0.5000 Tl
0.5000 0.0000 0.5000 Tl
0.5000 0.5000 0.0000 Ga
0.0000 0.0000 0.5000 Fe
```